Entry 1:
Theoretical PXRD pattern of Sm2Y3Th for CuKα, from a structure optimized by DFT (PBE).

Structure:
```
Sm2Y3Th
1.0
6.229 0.000 0.000
1.040 6.142 0.000
1.054 2.978 10.306
Sm Y Th
4 6 2
Cartesian
1.535 3.411 3.879
2.608 1.130 1.327
5.715 7.990 8.980
6.788 5.709 6.427
1.550 4.506 0.416
3.607 5.170 8.154
3.632 6.257 4.722
4.691 2.863 5.584
4.716 3.950 2.152
6.774 4.615 9.891
1.575 2.359 7.315
6.749 6.761 2.991
```

Principal peaks in the range 10 to 90 degrees two-theta, low angle first:
d/Å, I_rel, h k l
2.936, 100, 2 1 1
2.542, 50, 1 1 4
1.798, 36, 2 3 3
1.534, 25, 4 0 0
1.532, 18, 1 3 6
1.468, 9, 0 4 4
1.271, 6, 2 2 8
1.167, 9, 2 5 5
1.166, 7, -1 4 7
1.137, 13, 3 5 2

---

Entry 2:
Theoretical PXRD pattern of Sm14YTh for CuKα, from a structure optimized by DFT (PBE).

Structure:
```
Sm14YTh
1.0
7.241 0.000 0.000
0.000 7.241 0.000
0.000 0.000 10.262
Sm Y Th
14 1 1
Cartesian
0.000 0.000 0.000
0.000 3.621 0.000
0.000 3.621 5.131
1.793 1.793 2.588
1.793 1.793 7.673
1.793 5.448 2.588
1.793 5.448 7.673
3.621 0.000 0.000
3.621 0.000 5.131
3.621 3.621 0.000
5.448 1.793 2.588
5.448 1.793 7.673
5.448 5.448 2.588
5.448 5.448 7.673
3.621 3.621 5.131
0.000 0.000 5.131
```

Principal peaks in the range 10 to 90 degrees two-theta, low angle first:
d/Å, I_rel, h k l
2.958, 100, 2 0 2
2.562, 51, 2 2 0
1.812, 36, 4 0 0
1.545, 43, 4 2 2
1.479, 12, 4 0 4
1.283, 2, 0 0 8
1.280, 4, 4 4 0
1.176, 18, 6 0 2
1.147, 5, 2 2 8
1.145, 11, 6 2 0